Entry 1:
Er5PtSe4: computed PXRD pattern (CuKα), based on a DFT-relaxed cell (PBE, Alexandria).
Kinematic intensities with the Lorentz-polarization factor, no thermal factor.

Main lines, in order of falling intensity (2θ from 10° to 90°):
| 2θ/deg | I/Imax |
| --- | --- |
| 31.46 | 100 |
| 44.40 | 72 |
| 30.52 | 50 |
| 55.42 | 38 |
| 45.09 | 37 |
| 82.73 | 24 |
| 74.63 | 17 |
| 26.89 | 16 |
| 74.12 | 16 |
| 72.61 | 13 |

Structural model:
```
Er5PtSe4
1.0
-2.0109 2.0109 14.6459
2.0109 -2.0109 14.6459
2.0109 2.0109 -14.6459
Er Pt Se
5 1 4
Cartesian
0.0000 0.0000 0.0000
0.0000 0.0000 6.0157
0.0000 0.0000 11.8380
0.0000 0.0000 17.4538
0.0000 0.0000 23.2761
0.0000 0.0000 14.6459
0.0000 0.0000 3.1179
0.0000 0.0000 8.8979
0.0000 0.0000 20.3939
0.0000 0.0000 26.1739
```

***

Entry 2:
Er3Si4Pt2: computed PXRD pattern (CuKα), based on a DFT-relaxed cell (PBE, Alexandria).
Kinematic intensities with the Lorentz-polarization factor, no thermal factor.

Main lines, in order of falling intensity (2θ from 10° to 90°):
| 2θ/deg | I/Imax |
| --- | --- |
| 34.77 | 100 |
| 34.51 | 91 |
| 43.24 | 56 |
| 30.52 | 50 |
| 42.71 | 45 |
| 22.87 | 38 |
| 26.82 | 33 |
| 37.23 | 28 |
| 56.04 | 26 |
| 61.42 | 22 |

Structural model:
```
Er3Si4Pt2
1.0
5.1105 -2.1170 0.0000
5.1105 2.1170 0.0000
-2.4148 0.0000 7.7919
Er Si Pt
3 4 2
Cartesian
0.0000 0.0000 0.0000
2.9706 0.0000 2.4089
4.8355 0.0000 5.3830
-0.0699 0.0000 3.3185
0.5319 0.0000 7.3107
7.2743 0.0000 0.4812
7.8760 0.0000 4.4734
1.9036 0.0000 5.3466
5.9025 0.0000 2.4453
```

***

Entry 3:
Er3SiPt2: computed PXRD pattern (CuKα), based on a DFT-relaxed cell (PBE, Alexandria).
Kinematic intensities with the Lorentz-polarization factor, no thermal factor.

Main lines, in order of falling intensity (2θ from 10° to 90°):
| 2θ/deg | I/Imax |
| --- | --- |
| 33.05 | 100 |
| 32.09 | 76 |
| 35.80 | 73 |
| 41.61 | 64 |
| 32.22 | 59 |
| 31.09 | 58 |
| 44.34 | 55 |
| 46.22 | 46 |
| 39.21 | 44 |
| 35.03 | 36 |

Structural model:
```
Er3SiPt2
1.0
11.4621 0.0000 0.0000
0.0000 4.0863 0.0000
0.0000 0.0000 11.4475
Er Si Pt
12 4 8
Cartesian
0.6084 1.0216 1.3794
1.3620 3.0647 6.4300
2.2871 1.0216 9.2781
3.4439 3.0647 3.5543
4.3690 1.0216 0.7062
5.1226 3.0647 7.1031
6.3394 1.0216 4.3444
7.0930 3.0647 10.7413
8.0181 1.0216 7.8932
9.1750 3.0647 2.1695
10.1001 1.0216 5.0175
10.8536 3.0647 10.0682
1.4446 1.0216 4.2275
4.2864 3.0647 9.9513
7.1756 1.0216 1.4962
10.0175 3.0647 7.2200
0.2251 3.0647 3.5422
2.1323 3.0647 11.3299
3.5987 1.0216 5.6061
5.5059 1.0216 9.2660
5.9561 3.0647 2.1815
7.8634 3.0647 5.8414
9.3297 1.0216 0.1177
11.2369 1.0216 7.9053
```

***

Entry 4:
Er2SiPt: computed PXRD pattern (CuKα), based on a DFT-relaxed cell (PBE, Alexandria).
Kinematic intensities with the Lorentz-polarization factor, no thermal factor.

Main lines, in order of falling intensity (2θ from 10° to 90°):
| 2θ/deg | I/Imax |
| --- | --- |
| 32.52 | 100 |
| 32.37 | 94 |
| 40.26 | 61 |
| 42.92 | 56 |
| 40.63 | 55 |
| 39.89 | 53 |
| 33.47 | 47 |
| 46.78 | 41 |
| 34.32 | 38 |
| 33.90 | 38 |

Structural model:
```
Er2SiPt
1.0
5.7192 0.0000 0.0000
0.0000 4.2148 0.0000
-2.7268 0.0000 7.2745
Er Si Pt
4 2 2
Cartesian
0.0291 1.0537 3.1945
-1.2364 1.0537 6.6626
4.2287 3.1611 0.6119
2.9633 3.1611 4.0801
1.3433 3.1611 1.5183
1.6491 1.0537 5.7562
0.0946 3.1611 5.1913
2.8978 1.0537 2.0833
```

***

Entry 5:
ErSiPt6: computed PXRD pattern (CuKα), based on a DFT-relaxed cell (PBE, Alexandria).
Kinematic intensities with the Lorentz-polarization factor, no thermal factor.

Main lines, in order of falling intensity (2θ from 10° to 90°):
| 2θ/deg | I/Imax |
| --- | --- |
| 38.69 | 100 |
| 39.60 | 44 |
| 28.60 | 37 |
| 51.83 | 30 |
| 44.27 | 26 |
| 14.19 | 24 |
| 69.37 | 20 |
| 26.90 | 19 |
| 45.63 | 17 |
| 30.54 | 17 |

Structural model:
```
ErSiPt6
1.0
2.7093 1.5642 6.2419
-2.7093 1.5642 6.2419
0.0000 -3.1284 6.2419
Er Si Pt
1 1 6
Cartesian
0.0000 0.0000 0.0000
0.0000 0.0000 9.3628
-1.3868 -0.8007 7.6401
0.0000 -1.6013 11.0856
-1.3868 0.8007 11.0856
1.3868 -0.8007 7.6401
0.0000 1.6013 7.6401
1.3868 0.8006 11.0856
```

***

Entry 6:
Er2Si2Pt5: computed PXRD pattern (CuKα), based on a DFT-relaxed cell (PBE, Alexandria).
Kinematic intensities with the Lorentz-polarization factor, no thermal factor.

Main lines, in order of falling intensity (2θ from 10° to 90°):
| 2θ/deg | I/Imax |
| --- | --- |
| 36.55 | 100 |
| 43.50 | 35 |
| 75.28 | 25 |
| 60.81 | 20 |
| 40.33 | 16 |
| 70.85 | 13 |
| 63.20 | 12 |
| 77.69 | 10 |
| 43.20 | 8 |
| 23.58 | 4 |

Structural model:
```
Er2Si2Pt5
1.0
4.1611 0.0000 0.0000
0.0000 4.1611 0.0000
0.0000 0.0000 8.9457
Er Si Pt
2 2 5
Cartesian
0.0000 0.0000 0.0000
0.0000 0.0000 4.4728
2.0806 2.0806 1.1646
2.0806 2.0806 7.7811
0.0000 2.0806 2.3775
0.0000 2.0806 6.5682
2.0806 0.0000 2.3775
2.0806 0.0000 6.5682
2.0806 2.0806 4.4728
```

***

Entry 7:
Er2SiPt3: computed PXRD pattern (CuKα), based on a DFT-relaxed cell (PBE, Alexandria).
Kinematic intensities with the Lorentz-polarization factor, no thermal factor.

Main lines, in order of falling intensity (2θ from 10° to 90°):
| 2θ/deg | I/Imax |
| --- | --- |
| 39.40 | 100 |
| 37.77 | 53 |
| 69.24 | 21 |
| 61.58 | 17 |
| 21.52 | 15 |
| 68.26 | 15 |
| 28.62 | 14 |
| 43.87 | 13 |
| 80.74 | 10 |
| 62.74 | 9 |

Structural model:
```
Er2SiPt3
1.0
5.4960 0.0000 0.0000
-2.7480 4.7597 0.0000
0.0000 0.0000 8.2594
Er Si Pt
4 2 6
Cartesian
0.0000 3.1731 0.4969
0.0000 3.1731 3.6328
2.7480 1.5866 4.6265
2.7480 1.5866 7.7625
0.0000 0.0000 0.0000
0.0000 0.0000 4.1297
0.0000 1.5921 6.1945
-1.3692 3.9637 6.1945
1.3788 0.7961 2.0648
1.3692 3.9637 6.1945
4.1172 0.7961 2.0648
2.7480 3.1676 2.0648
```

***

Entry 8:
Er2Si12Pt7: computed PXRD pattern (CuKα), based on a DFT-relaxed cell (PBE, Alexandria).
Kinematic intensities with the Lorentz-polarization factor, no thermal factor.

Main lines, in order of falling intensity (2θ from 10° to 90°):
| 2θ/deg | I/Imax |
| --- | --- |
| 35.61 | 100 |
| 27.06 | 98 |
| 30.71 | 97 |
| 47.79 | 75 |
| 28.88 | 67 |
| 51.28 | 44 |
| 44.01 | 31 |
| 78.85 | 20 |
| 75.52 | 19 |
| 68.79 | 16 |

Structural model:
```
Er2Si12Pt7
1.0
10.0677 0.0000 0.0000
-5.0338 8.7189 0.0000
0.0000 0.0000 3.9174
Er Si Pt
2 12 7
Cartesian
0.0000 5.8126 1.0963
5.0338 2.9063 2.8211
-2.4878 5.4277 2.8677
-3.1152 7.3921 1.1110
0.1897 2.3249 1.1110
2.1083 0.9982 2.8064
1.5772 3.8506 2.8677
4.1233 0.5594 1.0497
0.9105 8.1595 2.8677
3.4566 4.8683 1.0497
2.9256 7.7207 1.1110
4.8441 6.3939 2.8064
8.1491 1.3267 2.8064
7.5216 3.2912 1.0497
0.0000 0.0000 1.9587
-0.8964 3.5611 3.1517
-1.5017 7.7146 3.1517
2.6358 2.5568 0.7657
2.3980 6.1620 3.1517
6.5355 1.0042 0.7657
5.9302 5.1578 0.7657
```

***

Entry 9:
TbEr2Si2Pt7: computed PXRD pattern (CuKα), based on a DFT-relaxed cell (PBE, Alexandria).
Kinematic intensities with the Lorentz-polarization factor, no thermal factor.

Main lines, in order of falling intensity (2θ from 10° to 90°):
| 2θ/deg | I/Imax |
| --- | --- |
| 37.41 | 100 |
| 45.04 | 89 |
| 36.30 | 83 |
| 34.65 | 62 |
| 34.26 | 48 |
| 76.63 | 46 |
| 32.28 | 44 |
| 32.91 | 36 |
| 45.31 | 24 |
| 36.53 | 24 |

Structural model:
```
TbEr2Si2Pt7
1.0
2.8614 -2.8352 0.0000
2.8614 2.8352 0.0000
-2.1753 0.0000 13.6072
Tb Er Si Pt
1 2 2 7
Cartesian
0.0000 0.0000 0.0000
-0.0790 0.0000 4.8612
3.6264 0.0000 8.7460
0.6780 0.0000 10.0731
2.8694 0.0000 3.5341
1.4383 1.4166 2.2241
0.8232 0.0000 7.7589
2.1091 1.4166 11.3831
2.8614 0.0000 0.0000
1.4383 -1.4166 2.2241
2.7242 0.0000 5.8484
2.1091 -1.4166 11.3831
```

***

Entry 10:
Er2SnPt9: computed PXRD pattern (CuKα), based on a DFT-relaxed cell (PBE, Alexandria).
Kinematic intensities with the Lorentz-polarization factor, no thermal factor.

Main lines, in order of falling intensity (2θ from 10° to 90°):
| 2θ/deg | I/Imax |
| --- | --- |
| 38.15 | 100 |
| 44.34 | 49 |
| 77.47 | 39 |
| 64.50 | 33 |
| 81.62 | 11 |
| 21.75 | 1 |
| 30.95 | 1 |

Structural model:
```
Er2SnPt9
1.0
4.0849 0.0000 0.0000
0.0000 4.0849 0.0000
0.0000 0.0000 12.2659
Er Sn Pt
2 1 9
Cartesian
0.0000 0.0000 2.0386
0.0000 0.0000 10.2274
0.0000 0.0000 6.1330
0.0000 2.0425 0.0000
0.0000 2.0425 4.1181
0.0000 2.0425 8.1478
2.0425 0.0000 0.0000
2.0425 0.0000 4.1181
2.0425 0.0000 8.1478
2.0425 2.0425 2.0794
2.0425 2.0425 6.1330
2.0425 2.0425 10.1865
```

***

Entry 11:
Er7Sn2Pt2: computed PXRD pattern (CuKα), based on a DFT-relaxed cell (PBE, Alexandria).
Kinematic intensities with the Lorentz-polarization factor, no thermal factor.

Main lines, in order of falling intensity (2θ from 10° to 90°):
| 2θ/deg | I/Imax |
| --- | --- |
| 37.51 | 100 |
| 32.91 | 54 |
| 25.03 | 43 |
| 37.31 | 40 |
| 28.88 | 30 |
| 33.56 | 29 |
| 27.10 | 28 |
| 43.84 | 21 |
| 20.67 | 20 |
| 12.64 | 20 |

Structural model:
```
Er7Sn2Pt2
1.0
4.1299 -5.4425 0.0000
4.1299 5.4425 0.0000
0.0000 0.0000 7.0028
Er Sn Pt
7 2 2
Cartesian
0.0000 0.0000 0.0000
2.0650 2.7212 1.7583
2.0650 2.7212 5.2445
2.0650 -2.7212 1.7583
2.0650 -2.7212 5.2445
4.1299 0.0000 1.6824
4.1299 0.0000 5.3204
1.4972 0.0000 3.5014
6.7627 0.0000 3.5014
4.1299 2.3400 0.0000
4.1299 -2.3400 0.0000
```

***

Entry 12:
Sr3ErPt8: computed PXRD pattern (CuKα), based on a DFT-relaxed cell (PBE, Alexandria).
Kinematic intensities with the Lorentz-polarization factor, no thermal factor.

Main lines, in order of falling intensity (2θ from 10° to 90°):
| 2θ/deg | I/Imax |
| --- | --- |
| 38.11 | 100 |
| 39.86 | 61 |
| 19.65 | 43 |
| 38.21 | 33 |
| 61.53 | 33 |
| 67.62 | 21 |
| 46.41 | 20 |
| 67.83 | 20 |
| 40.02 | 19 |
| 32.35 | 17 |

Structural model:
```
Sr3ErPt8
1.0
2.7710 1.5999 9.0117
-2.7710 1.5999 9.0117
0.0000 -3.1997 9.0117
Sr Er Pt
3 1 8
Cartesian
0.0000 0.0000 0.0000
0.0000 0.0000 3.3635
0.0000 0.0000 16.9409
0.0000 0.0000 13.5531
0.0000 -1.5824 6.1430
-1.3704 0.7912 6.1430
-1.3669 -0.7892 10.7891
0.0000 0.0000 8.4622
1.3704 0.7912 6.1429
1.3669 -0.7892 10.7891
0.0000 1.5784 10.7891
0.0000 0.0000 21.9911
```

***

Entry 13:
SrErZnPt: computed PXRD pattern (CuKα), based on a DFT-relaxed cell (PBE, Alexandria).
Kinematic intensities with the Lorentz-polarization factor, no thermal factor.

Main lines, in order of falling intensity (2θ from 10° to 90°):
| 2θ/deg | I/Imax |
| --- | --- |
| 35.19 | 100 |
| 63.15 | 37 |
| 50.62 | 18 |
| 21.34 | 17 |
| 85.07 | 16 |
| 74.41 | 11 |
| 41.53 | 10 |
| 55.54 | 4 |
| 78.45 | 3 |
| 67.48 | 3 |

Structural model:
```
SrErZnPt
1.0
0.0000 3.6063 3.6063
3.6063 0.0000 3.6063
3.6063 3.6063 0.0000
Sr Er Zn Pt
1 1 1 1
Cartesian
0.0000 0.0000 0.0000
3.6063 3.6063 3.6063
1.8031 1.8031 1.8031
5.4094 5.4094 5.4094
```